(1)
Computed powder diffractogram
Compound: Hf4TlPN2
Radiation: Cu Kα X-rays
Structure: a PBE-relaxed structure
Peak positions follow from Bragg's law for the DFT cell and can differ from measured ones.

Structural model:
```
Hf4TlPN2
1.0
3.318 0.000 0.000
-1.659 2.873 0.000
0.000 0.000 13.296
Hf Tl P N
4 1 1 2
direct
0.000 0.000 0.133
0.000 0.000 0.867
0.667 0.333 0.316
0.667 0.333 0.684
0.000 0.000 0.500
0.667 0.333 0.000
0.333 0.667 0.228
0.333 0.667 0.772
```

Peak list (6 most intense, 15° ≤ 2θ ≤ 90°, by angle)
Position (°2θ), Rel. int.
31.13, 32.1
33.99, 24.7
37.30, 100.0
55.38, 27.3
64.82, 24.5
68.68, 17.0

(2)
Computed powder diffractogram
Compound: Hf2P3W4N3
Radiation: Cu Kα X-rays
Structure: a PBE-relaxed structure
Peak positions follow from Bragg's law for the DFT cell and can differ from measured ones.

Structural model:
```
Hf2P3W4N3
1.0
4.887 -2.852 0.000
4.887 2.852 0.000
-3.140 0.000 11.451
Hf P W N
4 6 8 6
direct
0.034 0.849 0.604
0.151 0.966 0.896
0.849 0.034 0.104
0.966 0.151 0.396
0.074 0.278 0.746
0.278 0.074 0.246
0.438 0.562 0.750
0.562 0.438 0.250
0.722 0.926 0.754
0.926 0.722 0.254
0.202 0.393 0.098
0.328 0.429 0.403
0.393 0.202 0.598
0.429 0.328 0.903
0.571 0.672 0.097
0.607 0.798 0.402
0.672 0.571 0.597
0.798 0.607 0.902
0.000 0.500 0.500
0.153 0.697 0.002
0.303 0.847 0.498
0.500 0.000 0.000
0.697 0.153 0.502
0.847 0.303 0.998
```

Peak list (6 most intense, 15° ≤ 2θ ≤ 90°, by angle)
Position (°2θ), Rel. int.
31.24, 28.6
31.63, 27.1
32.53, 26.0
39.46, 100.0
39.83, 52.2
55.99, 25.0

(3)
Computed powder diffractogram
Compound: Hf3Pa2N3
Radiation: Cu Kα X-rays
Structure: a PBE-relaxed structure
Peak positions follow from Bragg's law for the DFT cell and can differ from measured ones.

Structural model:
```
Hf3Pa2N3
1.0
3.770 0.000 0.000
0.000 3.770 0.000
0.000 0.000 11.134
Hf Pa N
3 2 3
direct
0.000 0.000 0.000
0.000 0.000 0.500
0.500 0.500 0.000
0.000 0.500 0.730
0.500 0.000 0.270
0.500 0.500 0.194
0.500 0.500 0.500
0.500 0.500 0.806
```

Peak list (6 most intense, 15° ≤ 2θ ≤ 90°, by angle)
Position (°2θ), Rel. int.
24.94, 70.7
32.16, 36.1
33.90, 27.7
37.41, 100.0
48.29, 27.5
59.20, 25.7

(4)
Computed powder diffractogram
Compound: RbHf3N5
Radiation: Cu Kα X-rays
Structure: a PBE-relaxed structure
Peak positions follow from Bragg's law for the DFT cell and can differ from measured ones.

Structural model:
```
RbHf3N5
1.0
5.594 0.000 0.000
-2.797 4.845 0.000
0.000 0.000 6.073
Rb Hf N
1 3 5
direct
0.000 0.000 0.000
0.000 0.500 0.500
0.500 0.000 0.500
0.500 0.500 0.500
0.000 0.000 0.500
0.333 0.667 0.279
0.333 0.667 0.721
0.667 0.333 0.279
0.667 0.333 0.721
```

Peak list (6 most intense, 15° ≤ 2θ ≤ 90°, by angle)
Position (°2θ), Rel. int.
23.49, 100.0
29.41, 48.8
35.33, 31.3
37.11, 86.5
40.07, 78.6
48.05, 97.0